For ThBe13, DFT lattice parameters and positions (GGA-PBE) gives the computed powder diffractogram in this record (Cu Kα (λ = 1.5418 Å)).
Peak positions follow from Bragg's law for the DFT cell and can differ from measured ones.

Structural model:
```
ThBe13
1.0
0.000 5.172 5.172
5.172 0.000 5.172
5.172 5.172 0.000
Th Be
2 26
direct
0.250 0.250 0.250
0.750 0.750 0.750
0.000 0.000 0.000
0.062 0.288 0.712
0.062 0.712 0.938
0.062 0.938 0.288
0.212 0.438 0.788
0.212 0.562 0.438
0.212 0.788 0.562
0.288 0.062 0.938
0.288 0.712 0.062
0.288 0.938 0.712
0.438 0.212 0.562
0.438 0.562 0.788
0.438 0.788 0.212
0.500 0.500 0.500
0.562 0.212 0.788
0.562 0.438 0.212
0.562 0.788 0.438
0.712 0.062 0.288
0.712 0.288 0.938
0.712 0.938 0.062
0.788 0.212 0.438
0.788 0.438 0.562
0.788 0.562 0.212
0.938 0.062 0.712
0.938 0.288 0.062
0.938 0.712 0.288
```

Largest 8 diffraction maxima, low angle first, 10 to 80 degrees two-theta:
| 2theta | intensity |
| --- | --- |
| 17.1 | 94 |
| 24.3 | 100 |
| 29.9 | 43 |
| 38.9 | 69 |
| 42.8 | 57 |
| 53.1 | 26 |
| 56.3 | 25 |
| 67.8 | 28 |